(1)
For Nd12NiPd6, the GGA-PBE geometry in Alexandria gives the theoretical PXRD pattern in this record (Cu Kα).

Largest 8 diffraction maxima, sorted by position, 2θ = 10–80°:
2θ (°)  I (rel.)
22.44  53
25.75  71
27.91  26
30.17  50
32.59  71
36.26  100
37.20  99
52.92  25

Structure:
Lattice parameters (Å, degrees): 12.7881 12.7881 12.2968 90.00 90.00 120.00
Space group R-3 (No. 148, hexagonal axes)
Inequivalent atoms, fractional coordinates:
Nd: 0.0252 0.2111 0.3930 [18 per cell]
Nd: 0.0428 0.2007 0.8836 [18 per cell]
Ni: 0.0000 0.0000 0.0000 [3 per cell]
Pd: 0.0446 0.2677 0.6474 [18 per cell]



(2)
For PmNdNiPd, the GGA-PBE geometry in Alexandria gives the theoretical PXRD pattern in this record (Cu Kα).

Largest 8 diffraction maxima, sorted by position, 2θ = 10–80°:
2θ (°)  I (rel.)
25.98  18
31.58  100
33.63  27
34.17  31
39.34  19
39.81  58
40.26  30
46.67  19

Structure:
Lattice parameters (Å, degrees): 4.480 3.893 10.658 90.00 90.00 90.00
Space group Amm2 (No. 38)
Inequivalent atoms, fractional coordinates:
Pm: 0.000 0.000 0.000 [2 per cell]
Nd: 0.500 0.000 0.724 [2 per cell]
Ni: 0.500 0.000 0.444 [2 per cell]
Pd: 0.000 0.000 0.285 [2 per cell]



(3)
For PmNd3Ni, the GGA-PBE geometry in Alexandria gives the theoretical PXRD pattern in this record (Cu Kα).

Largest 8 diffraction maxima, sorted by position, 2θ = 10–80°:
2θ (°)  I (rel.)
29.24  26
30.32  100
30.81  60
31.63  44
33.82  55
48.31  25
57.49  24
58.26  24

Structure:
Lattice parameters (Å, degrees): 12.224 3.768 14.175 90.00 113.77 90.00
Space group Cm (No. 8)
Inequivalent atoms, fractional coordinates:
Pm: 0.000 0.000 0.000 [2 per cell]
Pm: 0.117 0.000 0.275 [2 per cell]
Nd: 0.112 0.000 0.625 [2 per cell]
Nd: 0.230 0.000 0.903 [2 per cell]
Nd: 0.283 0.500 0.145 [2 per cell]
Nd: 0.287 0.500 0.515 [2 per cell]
Nd: 0.443 0.000 0.386 [2 per cell]
Nd: 0.446 0.000 0.758 [2 per cell]
Ni: 0.267 0.500 0.769 [2 per cell]
Ni: 0.464 0.000 0.133 [2 per cell]



(4)
For Pm3Nd3Ni4, the GGA-PBE geometry in Alexandria gives the theoretical PXRD pattern in this record (Cu Kα).

Largest 8 diffraction maxima, sorted by position, 2θ = 10–80°:
2θ (°)  I (rel.)
25.54  20
27.99  20
32.45  70
34.48  100
36.44  56
46.51  20
55.23  21
60.47  28

Structure:
Lattice parameters (Å, degrees): 3.906 11.029 11.027 90.00 90.00 90.00
Space group Amm2 (No. 38)
Inequivalent atoms, fractional coordinates:
Pm: 0.000 0.000 0.000 [2 per cell]
Pm: 0.000 0.165 0.668 [4 per cell]
Nd: 0.000 0.000 0.331 [2 per cell]
Nd: 0.500 0.250 0.418 [4 per cell]
Ni: 0.500 0.000 0.550 [2 per cell]
Ni: 0.500 0.000 0.784 [2 per cell]
Ni: 0.500 0.118 0.165 [4 per cell]